Record 1
Structure and calculated powder X-ray diffraction pattern of Tb12Pm5Nd2 (DFT lattice parameters and positions (GGA-PBE); Cu Kα (weighted mean of Kα1 and Kα2)).
No peak broadening, texture or thermal motion is included.

Structure:
```
data_Tb12Pm5Nd2
_chemical_formula_sum 'Tb12 Pm5 Nd2'
_cell_length_a 6.1619
_cell_length_b 8.9427
_cell_length_c 11.8208
_cell_angle_alpha 91.37
_cell_angle_beta 103.19
_cell_angle_gamma 96.33
_symmetry_space_group_name_H-M 'P -1'
_symmetry_Int_Tables_number 2
_symmetry_space_group_name_Hall '-P 1'
loop_
_atom_site_label
_atom_site_fract_x
_atom_site_fract_y
_atom_site_fract_z
Tb1 0.0134 0.2370 0.2135
Tb2 0.0923 0.8779 0.1127
Tb3 0.2549 0.6041 0.3147
Tb4 0.3323 0.4427 0.8279
Tb5 0.3507 0.0739 0.7338
Tb6 0.4168 0.7111 0.6337
Pm1 0.0000 0.5000 0.0000
Pm2 0.1664 0.3441 0.5248
Pm3 0.4586 0.1924 0.0486
Nd1 0.2142 0.9731 0.4212
```

Most intense lines, 5° ≤ 2θ ≤ 70°, most intense first:
index	two_theta	intensity
1 1 -4	32.98	100.0
0 3 -1	30.82	71.0
-1 2 3	31.46	55.8
1 -1 3	31.23	55.7
2 0 -1	29.17	32.2
2 1 -1	31.95	24.5
0 2 -7	59.02	21.4
2 -2 0	34.20	20.6
0 1 6	49.16	18.6
3 -3 3	62.13	17.1

***

Record 2
Structure and calculated powder X-ray diffraction pattern of ZnB2Rh4 (DFT lattice parameters and positions (GGA-PBE); Cu Kα (weighted mean of Kα1 and Kα2)).
No peak broadening, texture or thermal motion is included.

Structure:
```
data_ZnB2Rh4
_chemical_formula_sum 'Zn8 B16 Rh32'
_cell_length_a 8.6512
_cell_length_b 11.8589
_cell_length_c 7.0751
_cell_angle_alpha 90.00
_cell_angle_beta 90.00
_cell_angle_gamma 90.00
_symmetry_space_group_name_H-M 'F d d 2'
_symmetry_Int_Tables_number 43
_symmetry_space_group_name_Hall 'F 2 -2d'
loop_
_atom_site_label
_atom_site_fract_x
_atom_site_fract_y
_atom_site_fract_z
Zn1 0.0000 0.0000 0.0000
B1 0.1246 0.1253 0.6251
Rh1 0.1157 0.0734 0.3510
Rh2 0.1162 0.4271 0.1493
```

Most intense lines, 5° ≤ 2θ ≤ 70°, most intense first:
index	two_theta	intensity
2 2 2	36.13	100.0
1 5 1	41.49	52.0
3 3 1	40.78	50.6
1 1 3	40.36	38.1
1 3 1	27.83	33.5
4 0 0	41.76	22.8
4 0 4	68.53	14.3
2 2 0	25.49	13.9
1 3 3	46.03	11.8
3 5 1	51.54	11.4

***

Record 3
Structure and calculated powder X-ray diffraction pattern of LaCuSiPd6 (DFT lattice parameters and positions (GGA-PBE); Cu Kα (weighted mean of Kα1 and Kα2)).
No peak broadening, texture or thermal motion is included.

Structure:
```
data_LaCuSiPd6
_chemical_formula_sum 'La4 Cu4 Si4 Pd24'
_cell_length_a 5.6699
_cell_length_b 9.3110
_cell_length_c 12.6435
_cell_angle_alpha 90.00
_cell_angle_beta 90.00
_cell_angle_gamma 90.00
_symmetry_space_group_name_H-M 'I m m a'
_symmetry_Int_Tables_number 74
_symmetry_space_group_name_Hall '-I 2b 2'
loop_
_atom_site_label
_atom_site_fract_x
_atom_site_fract_y
_atom_site_fract_z
La1 0.0000 0.2500 0.1585
Cu1 0.2500 0.2500 0.7500
Si1 0.0000 0.0000 0.5000
Pd1 0.0000 0.2500 0.4350
Pd2 0.0000 0.2500 0.9334
Pd3 0.2475 0.0156 0.8586
```

Most intense lines, 5° ≤ 2θ ≤ 70°, most intense first:
index	two_theta	intensity
2 2 0	37.13	100.0
2 2 4	47.30	92.0
1 1 4	33.85	82.3
0 4 0	38.68	69.9
0 0 4	28.23	37.5
0 2 4	34.29	27.8
1 3 4	43.89	27.2
2 5 1	59.89	22.7
2 0 2	34.68	20.2
0 4 4	48.57	16.6